[1]
Diffraction record for Ba2SmUO6. The X-ray powder pattern is simulated, not measured: it uses the PBE geometry in the Materials Project and copper Kα.
Intensities are scaled so that the largest is 100.

Main lines, in order of rising 2θ (10 to 80 degrees two-theta):
- d = 5.146 Å, I 4
- d = 4.457 Å, I 7
- d = 3.151 Å, I 100
- d = 2.228 Å, I 28
- d = 1.820 Å, I 42
- d = 1.576 Å, I 19
- d = 1.409 Å, I 19
- d = 1.287 Å, I 6

Cell and atoms:
```
Ba2SmUO6
1.0
0.000 4.457 4.457
4.457 0.000 4.457
4.457 4.457 0.000
Ba Sm U O
2 1 1 6
direct
0.250 0.250 0.250
0.750 0.750 0.750
0.000 0.000 0.000
0.500 0.500 0.500
0.259 0.259 0.741
0.259 0.741 0.259
0.259 0.741 0.741
0.741 0.259 0.259
0.741 0.259 0.741
0.741 0.741 0.259
```

***

[2]
Diffraction record for Be3SiO6. The X-ray powder pattern is simulated, not measured: it uses the PBE geometry in the Materials Project and copper Kα.
Intensities are scaled so that the largest is 100.

Main lines, in order of rising 2θ (10 to 80 degrees two-theta):
- d = 4.995 Å, I 92
- d = 4.518 Å, I 45
- d = 4.162 Å, I 100
- d = 3.786 Å, I 73
- d = 3.243 Å, I 90
- d = 2.792 Å, I 57
- d = 2.428 Å, I 44
- d = 2.347 Å, I 77

Cell and atoms:
```
Be3SiO6
1.0
5.267 0.000 0.000
0.000 4.695 0.000
-4.971 0.000 16.648
Be Si O
12 4 24
direct
0.002 0.083 0.204
0.002 0.417 0.704
0.192 0.591 0.040
0.192 0.909 0.540
0.452 0.098 0.117
0.452 0.402 0.617
0.548 0.598 0.383
0.548 0.902 0.883
0.808 0.091 0.460
0.808 0.409 0.960
0.998 0.583 0.296
0.998 0.917 0.796
0.238 0.084 0.377
0.238 0.416 0.877
0.762 0.584 0.123
0.762 0.916 0.623
0.066 0.574 0.792
0.066 0.926 0.292
0.092 0.014 0.445
0.092 0.486 0.945
0.251 0.577 0.549
0.251 0.923 0.049
0.259 0.075 0.857
0.259 0.425 0.357
0.267 0.056 0.175
0.267 0.444 0.675
0.466 0.066 0.595
0.466 0.434 0.095
0.534 0.566 0.905
0.534 0.934 0.405
0.733 0.556 0.325
0.733 0.944 0.825
0.741 0.575 0.643
0.741 0.925 0.143
0.749 0.077 0.951
0.749 0.423 0.451
0.908 0.514 0.055
0.908 0.986 0.555
0.934 0.074 0.708
0.934 0.426 0.208
```

***

[3]
Diffraction record for Ti2InC. The X-ray powder pattern is simulated, not measured: it uses the PBE geometry in the Materials Project and copper Kα.
Intensities are scaled so that the largest is 100.

Main lines, in order of rising 2θ (10 to 80 degrees two-theta):
- d = 7.109 Å, I 17
- d = 2.725 Å, I 20
- d = 2.676 Å, I 17
- d = 2.370 Å, I 20
- d = 2.362 Å, I 100
- d = 1.788 Å, I 16
- d = 1.573 Å, I 19
- d = 1.310 Å, I 30

Cell and atoms:
```
Ti2InC
1.0
3.147 0.000 0.000
-1.573 2.725 0.000
0.000 0.000 14.217
Ti In C
4 2 2
direct
0.333 0.667 0.078
0.333 0.667 0.422
0.667 0.333 0.578
0.667 0.333 0.922
0.333 0.667 0.750
0.667 0.333 0.250
0.000 0.000 0.000
0.000 0.000 0.500
```

***

[4]
Diffraction record for EuBr2. The X-ray powder pattern is simulated, not measured: it uses the PBE geometry in the Materials Project and copper Kα.
Intensities are scaled so that the largest is 100.

Main lines, in order of rising 2θ (10 to 80 degrees two-theta):
- d = 4.214 Å, I 100
- d = 3.273 Å, I 49
- d = 2.942 Å, I 40
- d = 2.625 Å, I 78
- d = 2.598 Å, I 62
- d = 2.572 Å, I 75
- d = 2.179 Å, I 62
- d = 2.067 Å, I 37

Cell and atoms:
```
EuBr2
1.0
11.621 0.000 0.000
0.000 11.621 0.000
0.000 0.000 7.201
Eu Br
10 20
direct
0.087 0.602 0.248
0.102 0.913 0.752
0.250 0.250 0.148
0.398 0.587 0.752
0.413 0.898 0.248
0.587 0.102 0.752
0.602 0.413 0.248
0.750 0.750 0.852
0.898 0.087 0.248
0.913 0.398 0.752
0.041 0.348 0.377
0.043 0.161 0.903
0.152 0.041 0.377
0.161 0.457 0.903
0.250 0.750 0.000
0.250 0.750 0.500
0.339 0.043 0.903
0.348 0.459 0.377
0.457 0.339 0.903
0.459 0.152 0.377
0.541 0.848 0.623
0.543 0.661 0.097
0.652 0.541 0.623
0.661 0.957 0.097
0.750 0.250 0.000
0.750 0.250 0.500
0.839 0.543 0.097
0.848 0.959 0.623
0.957 0.839 0.097
0.959 0.652 0.623
```

***

[5]
Diffraction record for Tb8Rh5C12. The X-ray powder pattern is simulated, not measured: it uses the PBE geometry in the Materials Project and copper Kα.
Intensities are scaled so that the largest is 100.

Main lines, in order of rising 2θ (10 to 80 degrees two-theta):
- d = 3.373 Å, I 48
- d = 3.198 Å, I 33
- d = 2.764 Å, I 35
- d = 2.669 Å, I 100
- d = 2.560 Å, I 58
- d = 2.517 Å, I 84
- d = 2.478 Å, I 42
- d = 1.794 Å, I 37

Cell and atoms:
```
Tb8Rh5C12
1.0
14.003 -1.794 0.000
14.003 1.794 0.000
-0.479 0.000 7.436
Tb Rh C
8 5 12
direct
0.047 0.047 0.297
0.088 0.088 0.828
0.199 0.199 0.609
0.206 0.206 0.116
0.794 0.794 0.884
0.801 0.801 0.391
0.912 0.912 0.172
0.953 0.953 0.703
0.383 0.383 0.872
0.390 0.390 0.509
0.500 0.500 0.000
0.610 0.610 0.491
0.617 0.617 0.128
0.284 0.284 0.635
0.293 0.293 0.131
0.332 0.332 0.653
0.341 0.341 0.125
0.452 0.452 0.385
0.477 0.477 0.244
0.523 0.523 0.756
0.548 0.548 0.615
0.659 0.659 0.875
0.668 0.668 0.347
0.707 0.707 0.869
0.716 0.716 0.365
```

***

[6]
Diffraction record for Ti3Se2S4. The X-ray powder pattern is simulated, not measured: it uses the PBE geometry in the Materials Project and copper Kα.
Intensities are scaled so that the largest is 100.

Main lines, in order of rising 2θ (10 to 80 degrees two-theta):
- d = 6.160 Å, I 51
- d = 2.697 Å, I 100
- d = 2.149 Å, I 52
- d = 1.732 Å, I 27
- d = 1.695 Å, I 23
- d = 1.668 Å, I 8
- d = 1.458 Å, I 13
- d = 1.349 Å, I 11

Cell and atoms:
```
Ti3Se2S4
1.0
3.465 0.000 0.000
-1.732 3.000 0.000
0.000 0.000 18.481
Ti Se S
3 2 4
direct
0.000 0.000 0.000
0.000 0.000 0.327
0.000 0.000 0.666
0.667 0.333 0.577
0.667 0.333 0.911
0.333 0.667 0.073
0.333 0.667 0.403
0.333 0.667 0.739
0.667 0.333 0.251
```

***

[7]
Diffraction record for BaDySnSbO6. The X-ray powder pattern is simulated, not measured: it uses the PBE geometry in the Materials Project and copper Kα.
Intensities are scaled so that the largest is 100.

Main lines, in order of rising 2θ (10 to 80 degrees two-theta):
- d = 2.991 Å, I 100
- d = 2.966 Å, I 52
- d = 2.133 Å, I 15
- d = 2.097 Å, I 28
- d = 1.732 Å, I 22
- d = 1.717 Å, I 43
- d = 1.495 Å, I 18
- d = 1.326 Å, I 10

Cell and atoms:
```
BaDySnSbO6
1.0
5.932 0.000 0.000
0.000 5.932 0.000
0.000 0.000 8.531
Ba Dy Sn Sb O
2 2 2 2 12
direct
0.000 0.500 0.250
0.500 0.000 0.750
0.000 0.000 0.000
0.500 0.500 0.500
0.000 0.500 0.750
0.500 0.000 0.250
0.000 0.000 0.500
0.500 0.500 0.000
0.000 0.000 0.263
0.000 0.000 0.737
0.189 0.282 0.512
0.218 0.311 0.988
0.282 0.811 0.488
0.311 0.782 0.012
0.500 0.500 0.237
0.500 0.500 0.763
0.689 0.218 0.012
0.718 0.189 0.488
0.782 0.689 0.988
0.811 0.718 0.512
```

***

[8]
Diffraction record for Cs2RbLaCl6. The X-ray powder pattern is simulated, not measured: it uses the PBE geometry in the Materials Project and copper Kα.
Intensities are scaled so that the largest is 100.

Main lines, in order of rising 2θ (10 to 80 degrees two-theta):
- d = 4.192 Å, I 100
- d = 3.423 Å, I 16
- d = 2.964 Å, I 60
- d = 2.420 Å, I 47
- d = 2.096 Å, I 42
- d = 1.875 Å, I 24
- d = 1.584 Å, I 27
- d = 1.326 Å, I 17

Cell and atoms:
```
Cs2RbLaCl6
1.0
0.000 5.928 5.928
5.928 0.000 5.928
5.928 5.928 0.000
Cs Rb La Cl
2 1 1 6
direct
0.250 0.250 0.250
0.750 0.750 0.750
0.000 0.000 0.000
0.500 0.500 0.500
0.266 0.266 0.734
0.266 0.734 0.266
0.266 0.734 0.734
0.734 0.266 0.266
0.734 0.266 0.734
0.734 0.734 0.266
```

***

[9]
Diffraction record for CaTa2Bi2O9. The X-ray powder pattern is simulated, not measured: it uses the PBE geometry in the Materials Project and copper Kα.
Intensities are scaled so that the largest is 100.

Main lines, in order of rising 2θ (10 to 80 degrees two-theta):
- d = 3.861 Å, I 14
- d = 3.546 Å, I 24
- d = 3.095 Å, I 100
- d = 2.778 Å, I 18
- d = 2.747 Å, I 19
- d = 1.953 Å, I 17
- d = 1.745 Å, I 17
- d = 1.645 Å, I 15

Cell and atoms:
```
CaTa2Bi2O9
1.0
12.677 -2.747 0.000
12.677 2.747 0.000
0.000 0.000 5.556
Ca Ta Bi O
2 4 4 18
direct
0.245 0.755 0.500
0.755 0.245 0.000
0.171 0.667 0.965
0.333 0.829 0.965
0.667 0.171 0.465
0.829 0.333 0.465
0.019 0.583 0.542
0.417 0.981 0.542
0.583 0.019 0.042
0.981 0.417 0.042
0.014 0.679 0.947
0.025 0.097 0.731
0.097 0.025 0.231
0.238 0.263 0.766
0.263 0.238 0.266
0.321 0.986 0.947
0.328 0.672 0.927
0.367 0.461 0.655
0.461 0.367 0.155
0.539 0.633 0.655
0.633 0.539 0.155
0.672 0.328 0.427
0.679 0.014 0.447
0.737 0.762 0.766
0.762 0.737 0.266
0.903 0.975 0.731
0.975 0.903 0.231
0.986 0.321 0.447
```

***

[10]
Diffraction record for Ba2YMgNbO6. The X-ray powder pattern is simulated, not measured: it uses the PBE geometry in the Materials Project and copper Kα.
Intensities are scaled so that the largest is 100.

Main lines, in order of rising 2θ (10 to 80 degrees two-theta):
- d = 3.166 Å, I 100
- d = 3.146 Å, I 49
- d = 2.995 Å, I 43
- d = 2.772 Å, I 28
- d = 2.744 Å, I 25
- d = 2.169 Å, I 56
- d = 2.034 Å, I 21
- d = 1.820 Å, I 21

Cell and atoms:
```
Ba2YMgNbO6
1.0
-2.995 3.146 4.631
2.995 -3.146 4.631
2.995 3.146 -4.631
Ba Y Mg Nb O
2 1 1 1 6
direct
0.188 0.188 0.000
0.812 0.812 0.000
0.500 0.000 0.500
0.500 0.500 0.000
0.000 0.500 0.500
0.231 0.731 0.500
0.261 0.271 0.532
0.261 0.729 0.990
0.739 0.271 0.010
0.739 0.729 0.468
0.769 0.269 0.500
```

***

[11]
Diffraction record for NiS2. The X-ray powder pattern is simulated, not measured: it uses the PBE geometry in the Materials Project and copper Kα.
Intensities are scaled so that the largest is 100.

Main lines, in order of rising 2θ (10 to 80 degrees two-theta):
- d = 7.092 Å, I 100
- d = 2.794 Å, I 18
- d = 2.394 Å, I 31
- d = 1.959 Å, I 13
- d = 1.714 Å, I 8
- d = 1.672 Å, I 10
- d = 1.627 Å, I 10
- d = 1.425 Å, I 5

Cell and atoms:
```
NiS2
1.0
1.672 0.965 7.092
-1.672 0.965 7.092
0.000 -1.930 7.092
Ni S
1 2
direct
0.000 0.000 0.000
0.389 0.389 0.389
0.611 0.611 0.611
```